Simulated PXRD pattern of Li2Mn3P3O12 for a wavelength of 1.5418 Å, from a structure optimized by DFT (PBE+U).
No peak broadening, texture or thermal motion is included.

Cell and atoms:
```
Li2Mn3P3O12
1.0
7.4034 -4.4421 0.0000
7.4034 4.4421 0.0000
-4.4029 0.0000 7.2057
Li Mn P O
4 6 6 24
direct
0.0000 0.0000 0.0000
0.1539 0.4870 0.0994
0.5130 0.8461 0.9006
0.6995 0.3005 0.5000
0.0102 0.7866 0.6052
0.2134 0.9898 0.3948
0.3669 0.1346 0.2555
0.5293 0.2826 0.1005
0.7174 0.4707 0.8995
0.8654 0.6331 0.7445
0.1187 0.1769 0.8114
0.3042 0.6958 0.0000
0.3980 0.6020 0.5000
0.6185 0.0843 0.6732
0.8231 0.8813 0.1886
0.9157 0.3815 0.3268
0.0450 0.0446 0.8079
0.1079 0.2177 0.3295
0.1081 0.7225 0.8491
0.1932 0.0974 0.6471
0.2559 0.6570 0.5941
0.2747 0.2045 0.0032
0.2775 0.8919 0.1509
0.3348 0.5372 0.0582
0.3430 0.7441 0.4059
0.4106 0.4078 0.3526
0.4620 0.0557 0.4896
0.4628 0.6652 0.9418
0.5707 0.1308 0.8463
0.5922 0.5894 0.6474
0.6248 0.0277 0.1842
0.6765 0.2317 0.6808
0.7683 0.3235 0.3192
0.7823 0.8921 0.6705
0.7955 0.7253 0.9968
0.8692 0.4293 0.1537
0.9026 0.8068 0.3529
0.9443 0.5380 0.5104
0.9554 0.9550 0.1921
0.9723 0.3752 0.8158
```

Most intense lines, 5 to 70 degrees two-theta, sorted by position:
2θ = 19.78°, 4.488 Å, intensity 100; 2θ = 19.99°, 4.442 Å, intensity 58; 2θ = 23.38°, 3.806 Å, intensity 79; 2θ = 23.89°, 3.725 Å, intensity 70; 2θ = 24.06°, 3.700 Å, intensity 79; 2θ = 32.44°, 2.760 Å, intensity 81; 2θ = 33.07°, 2.709 Å, intensity 63; 2θ = 34.86°, 2.573 Å, intensity 77